1.
Structure and theoretical powder X-ray diffraction pattern of Na2ZnS2 (a crystal structure in Alexandria, relaxed with GGA-PBE; copper Kα).
Peak positions follow from Bragg's law for the DFT cell and can differ from measured ones.

Principal peaks in the range 2θ = 5–70°, sorted by position:
| index | d (Å) | I/Imax |
| --- | --- | --- |
| 1 0 0 | 8.897 | 100 |
| 0 1 1 | 4.934 | 28 |
| 1 1 -1 | 4.399 | 99 |
| 1 0 2 | 3.145 | 30 |
| 1 2 1 | 2.940 | 44 |
| 3 1 0 | 2.735 | 29 |
| 2 2 -1 | 2.607 | 50 |
| 0 2 2 | 2.467 | 26 |
| 3 2 -1 | 2.190 | 28 |
| 2 3 0 | 2.084 | 47 |

Structure:
a = 8.914 Å, b = 7.076 Å, c = 6.897 Å
α = 90.00°, β = 93.58°, γ = 90.00°
Space group P2_1/c (No. 14)
Asymmetric unit:
Na1 0.050 0.236 0.011 x4
Na2 0.321 0.671 0.948 x4
Zn1 0.372 0.095 0.844 x4
S1 0.146 0.542 0.247 x4
S2 0.412 0.111 0.193 x4


2.
Structure and theoretical powder X-ray diffraction pattern of Na2Zn2S3 (a crystal structure in Alexandria, relaxed with GGA-PBE; copper Kα).
Peak positions follow from Bragg's law for the DFT cell and can differ from measured ones.

Principal peaks in the range 2θ = 5–70°, sorted by position:
| index | d (Å) | I/Imax |
| --- | --- | --- |
| 1 0 1 | 6.150 | 24 |
| 1 1 1 | 4.700 | 100 |
| 2 0 2 | 3.075 | 58 |
| 0 0 4 | 2.866 | 25 |
| 2 1 2 | 2.833 | 21 |
| 2 2 0 | 2.576 | 51 |
| 2 2 3 | 2.137 | 20 |
| 1 1 5 | 2.095 | 19 |
| 2 2 4 | 1.916 | 33 |
| 4 1 2 | 1.689 | 19 |

Structure:
a = 7.287 Å, b = 7.287 Å, c = 11.466 Å
α = 90.00°, β = 90.00°, γ = 90.00°
Space group P4_32_12 (No. 96)
Asymmetric unit:
Na1 0.042 0.272 0.335 x8
Zn1 0.042 0.216 0.885 x8
S1 0.042 0.751 0.582 x8
S2 0.188 0.812 0.250 x4


3.
Structure and theoretical powder X-ray diffraction pattern of Na3ZnS8 (a crystal structure in Alexandria, relaxed with GGA-PBE; copper Kα).
Peak positions follow from Bragg's law for the DFT cell and can differ from measured ones.

Principal peaks in the range 2θ = 5–70°, sorted by position:
| index | d (Å) | I/Imax |
| --- | --- | --- |
| 1 1 0 | 6.403 | 51 |
| 2 2 -1 | 3.530 | 55 |
| 1 3 0 | 3.203 | 100 |
| 1 1 -2 | 2.991 | 57 |
| 0 0 2 | 2.677 | 30 |
| 0 4 0 | 2.617 | 66 |
| 2 2 1 | 2.327 | 43 |
| 4 2 -1 | 2.176 | 56 |
| 4 2 -3 | 1.885 | 33 |
| 1 3 2 | 1.860 | 39 |

Structure:
a = 9.813 Å, b = 10.468 Å, c = 6.490 Å
α = 90.00°, β = 124.43°, γ = 90.00°
Space group Cm (No. 8)
Asymmetric unit:
Na1 0.000 0.000 0.000 x2
Na2 0.437 0.257 0.353 x4
Zn1 0.438 0.000 0.806 x2
S1 0.026 0.500 0.249 x2
S2 0.094 0.304 0.914 x4
S3 0.139 0.000 0.511 x2
S4 0.254 0.303 0.809 x4
S5 0.350 0.000 0.325 x2
S6 0.448 0.500 0.551 x2


4.
Structure and theoretical powder X-ray diffraction pattern of Na2ZnS2 (a crystal structure in Alexandria, relaxed with GGA-PBE; copper Kα).
Peak positions follow from Bragg's law for the DFT cell and can differ from measured ones.

Principal peaks in the range 2θ = 5–70°, sorted by position:
| index | d (Å) | I/Imax |
| --- | --- | --- |
| 0 2 0 | 9.407 | 97 |
| 1 1 1 | 4.757 | 62 |
| 0 4 0 | 4.704 | 38 |
| 0 4 1 | 3.963 | 80 |
| 2 3 0 | 2.924 | 47 |
| 1 3 2 | 2.861 | 100 |
| 1 6 1 | 2.644 | 40 |
| 2 4 1 | 2.538 | 42 |
| 1 6 2 | 2.243 | 38 |
| 0 4 3 | 2.175 | 56 |

Structure:
a = 6.609 Å, b = 18.814 Å, c = 7.358 Å
α = 90.00°, β = 90.00°, γ = 90.00°
Space group Pbca (No. 61)
Asymmetric unit:
Na1 0.005 0.064 0.195 x8
Na2 0.197 0.702 0.062 x8
Zn1 0.118 0.091 0.637 x8
S1 0.219 0.554 0.894 x8
S2 0.223 0.167 0.422 x8


5.
Structure and theoretical powder X-ray diffraction pattern of Na2Zn2S3 (a crystal structure in Alexandria, relaxed with GGA-PBE; copper Kα).
Peak positions follow from Bragg's law for the DFT cell and can differ from measured ones.

Principal peaks in the range 2θ = 5–70°, sorted by position:
| index | d (Å) | I/Imax |
| --- | --- | --- |
| 2 0 0 | 6.623 | 100 |
| 2 2 -1 | 4.430 | 37 |
| 1 3 -1 | 3.671 | 47 |
| 2 0 -2 | 3.376 | 43 |
| 3 3 -1 | 3.205 | 40 |
| 5 1 0 | 2.597 | 33 |
| 3 3 1 | 2.464 | 27 |
| 2 4 1 | 2.457 | 55 |
| 0 6 0 | 2.187 | 32 |
| 3 3 -3 | 2.001 | 67 |

Structure:
a = 14.821 Å, b = 13.122 Å, c = 6.752 Å
α = 90.00°, β = 116.66°, γ = 90.00°
Space group C2/c (No. 15)
Asymmetric unit:
Na1 0.000 0.070 0.250 x4
Na2 0.000 0.218 0.750 x4
Na3 0.103 0.414 0.634 x8
Zn1 0.184 0.233 0.260 x8
Zn2 0.215 0.077 0.799 x8
S1 0.114 0.381 0.057 x8
S2 0.138 0.217 0.555 x8
S3 0.152 0.074 0.071 x8


6.
Structure and theoretical powder X-ray diffraction pattern of Na5ZrS5 (a crystal structure in Alexandria, relaxed with GGA-PBE; copper Kα).
Peak positions follow from Bragg's law for the DFT cell and can differ from measured ones.

Principal peaks in the range 2θ = 5–70°, sorted by position:
| index | d (Å) | I/Imax |
| --- | --- | --- |
| 0 0 1 | 7.448 | 100 |
| 2 0 -1 | 5.765 | 39 |
| 1 1 0 | 4.951 | 90 |
| 4 0 -2 | 2.883 | 78 |
| 2 0 2 | 2.840 | 82 |
| 0 2 0 | 2.693 | 77 |
| 3 1 2 | 2.217 | 25 |
| 4 2 -2 | 1.968 | 48 |
| 2 0 -4 | 1.959 | 24 |
| 2 2 2 | 1.954 | 49 |

Structure:
a = 13.216 Å, b = 5.387 Å, c = 7.837 Å
α = 90.00°, β = 108.11°, γ = 90.00°
Space group C2/m (No. 12)
Asymmetric unit:
Na1 0.000 0.000 0.000 x2
Na2 0.183 0.500 0.361 x4
Na3 0.197 0.500 0.825 x4
Zr1 0.000 0.000 0.500 x2
S1 0.000 0.500 0.500 x2
S2 0.139 0.000 0.334 x4
S3 0.149 0.000 0.807 x4


7.
Structure and theoretical powder X-ray diffraction pattern of Na4Zr3S8 (a crystal structure in Alexandria, relaxed with GGA-PBE; copper Kα).
Peak positions follow from Bragg's law for the DFT cell and can differ from measured ones.

Principal peaks in the range 2θ = 5–70°, sorted by position:
| index | d (Å) | I/Imax |
| --- | --- | --- |
| 0 0 3 | 7.163 | 100 |
| 1 0 1 | 6.301 | 15 |
| 1 1 3 | 3.361 | 17 |
| 0 2 1 | 3.257 | 36 |
| 0 2 4 | 2.809 | 83 |
| 0 2 7 | 2.246 | 37 |
| 2 0 8 | 2.082 | 36 |
| 2 2 0 | 1.903 | 35 |
| 2 2 3 | 1.839 | 16 |
| 2 0 11 | 1.681 | 17 |

Structure:
a = 7.6106 Å, b = 7.6106 Å, c = 21.4892 Å
α = 90.00°, β = 90.00°, γ = 120.00°
Space group R-3m (No. 166, hexagonal axes)
Asymmetric unit:
Na1 0.0000 0.0000 0.0000 x3
Na2 0.0000 0.0000 0.1410 x6
Na3 0.0000 0.0000 0.5000 x3
Zr1 0.0000 0.5000 0.0000 x9
S1 0.0000 0.0000 0.2667 x6
S2 0.0223 0.5111 0.2651 x18


8.
Structure and theoretical powder X-ray diffraction pattern of Na4Sb (a crystal structure in Alexandria, relaxed with GGA-PBE; copper Kα).
Peak positions follow from Bragg's law for the DFT cell and can differ from measured ones.

Principal peaks in the range 2θ = 5–70°, sorted by position:
| index | d (Å) | I/Imax |
| --- | --- | --- |
| 1 0 0 | 5.976 | 100 |
| 1 1 0 | 4.225 | 89 |
| 2 0 0 | 2.988 | 61 |
| 2 1 0 | 2.672 | 54 |
| 2 1 1 | 2.440 | 42 |
| 2 2 0 | 2.113 | 45 |
| 3 0 0 | 1.992 | 29 |
| 3 1 0 | 1.890 | 19 |
| 3 2 1 | 1.597 | 22 |
| 4 1 0 | 1.449 | 16 |

Structure:
a = 5.976 Å, b = 5.976 Å, c = 5.976 Å
α = 90.00°, β = 90.00°, γ = 90.00°
Space group Pm-3m (No. 221)
Asymmetric unit:
Na1 0.000 0.000 0.000 x1
Na2 0.000 0.500 0.500 x3
Sb1 0.500 0.500 0.500 x1


9.
Structure and theoretical powder X-ray diffraction pattern of Na13Sb2 (a crystal structure in Alexandria, relaxed with GGA-PBE; copper Kα).
Peak positions follow from Bragg's law for the DFT cell and can differ from measured ones.

Principal peaks in the range 2θ = 5–70°, sorted by position:
| index | d (Å) | I/Imax |
| --- | --- | --- |
| 1 0 1 | 7.749 | 34 |
| 0 1 2 | 6.839 | 100 |
| 1 1 0 | 4.701 | 43 |
| 1 0 7 | 3.292 | 19 |
| 2 1 1 | 3.055 | 16 |
| 1 2 2 | 2.990 | 17 |
| 0 0 9 | 2.800 | 21 |
| 2 1 4 | 2.765 | 45 |
| 1 2 5 | 2.627 | 55 |
| 1 1 9 | 2.406 | 18 |

Structure:
a = 9.4029 Å, b = 9.4029 Å, c = 25.1986 Å
α = 90.00°, β = 90.00°, γ = 120.00°
Space group R-3m (No. 166, hexagonal axes)
Asymmetric unit:
Na1 0.0000 0.0000 0.0000 x3
Na2 0.0775 0.5387 0.5527 x18
Na3 0.0986 0.5493 0.3341 x18
Sb1 0.0000 0.0000 0.2159 x6


10.
Structure and theoretical powder X-ray diffraction pattern of Na8Sb3 (a crystal structure in Alexandria, relaxed with GGA-PBE; copper Kα).
Peak positions follow from Bragg's law for the DFT cell and can differ from measured ones.

Principal peaks in the range 2θ = 5–70°, sorted by position:
| index | d (Å) | I/Imax |
| --- | --- | --- |
| 1 0 1 | 7.544 | 46 |
| 1 1 0 | 5.334 | 25 |
| 0 2 1 | 4.355 | 100 |
| 1 0 4 | 3.080 | 15 |
| 2 2 0 | 2.667 | 95 |
| 2 2 3 | 2.275 | 54 |
| 4 0 4 | 1.886 | 16 |
| 2 4 1 | 1.731 | 22 |
| 6 0 0 | 1.540 | 30 |
| 0 6 3 | 1.452 | 17 |

Structure:
a = 10.6680 Å, b = 10.6680 Å, c = 13.0670 Å
α = 90.00°, β = 90.00°, γ = 120.00°
Space group R-3m (No. 166, hexagonal axes)
Asymmetric unit:
Na1 0.0000 0.0000 0.2252 x6
Na2 0.0320 0.5160 0.7418 x18
Sb1 0.0000 0.5000 0.5000 x9


11.
Structure and theoretical powder X-ray diffraction pattern of NaSb4Se7 (a crystal structure in Alexandria, relaxed with GGA-PBE; copper Kα).
Peak positions follow from Bragg's law for the DFT cell and can differ from measured ones.

Principal peaks in the range 2θ = 5–70°, sorted by position:
| index | d (Å) | I/Imax |
| --- | --- | --- |
| 0 0 1 | 12.258 | 33 |
| 2 0 1 | 5.760 | 43 |
| 2 0 2 | 4.325 | 30 |
| 3 1 0 | 3.005 | 38 |
| 3 1 -1 | 2.983 | 62 |
| 2 0 -4 | 2.972 | 58 |
| 3 1 1 | 2.858 | 100 |
| 3 1 -2 | 2.802 | 48 |
| 1 1 4 | 2.333 | 47 |
| 0 2 0 | 1.954 | 40 |

Structure:
a = 14.246 Å, b = 3.908 Å, c = 12.389 Å
α = 90.00°, β = 98.33°, γ = 90.00°
Space group Cm (No. 8)
Asymmetric unit:
Na1 0.000 0.000 0.000 x2
Sb1 0.101 0.000 0.415 x2
Sb2 0.261 0.000 0.885 x2
Sb3 0.287 0.500 0.240 x2
Sb4 0.415 0.000 0.580 x2
Se1 0.045 0.000 0.635 x2
Se2 0.129 0.500 0.903 x2
Se3 0.148 0.000 0.201 x2
Se4 0.242 0.500 0.465 x2
Se5 0.364 0.000 0.080 x2
Se6 0.367 0.500 0.792 x2
Se7 0.446 0.000 0.364 x2